Simulated powder XRD pattern of CrO3 for Cu Kα X-rays, from a cell relaxed with PBE+U.
Kinematic intensities with the Lorentz-polarization factor, no thermal factor.

Cell and atoms:
```
CrO3
1.0
5.001 0.000 0.000
0.000 5.259 0.000
-0.011 0.000 7.129
Cr O
4 12
direct
0.228 0.000 0.280
0.244 0.005 0.780
0.756 0.505 0.220
0.772 0.500 0.720
0.046 0.638 0.793
0.050 0.636 0.197
0.164 0.917 0.499
0.344 0.956 0.998
0.438 0.238 0.705
0.446 0.232 0.298
0.554 0.732 0.702
0.562 0.738 0.295
0.656 0.456 0.002
0.836 0.417 0.501
0.950 0.136 0.803
0.954 0.138 0.207
```

Main lines, low angle first (5° ≤ 2θ ≤ 70°):
h k l  Position (°2θ)  I/Imax
1 1 0  24.56  100.0
0 0 2  24.98  43.9
0 2 0  34.10  11.1
1 1 2  35.32  23.0
2 2 0  50.36  15.3
2 2 2  57.02  12.0